The following is a calculated powder diffractogram of KLiLu2Mo4O16. It was derived from a structure optimized by DFT (GGA+U), using Cu Kα X-rays.
Intensities are scaled so that the largest is 100.

Cell and atoms:
```
data_KLiLu2Mo4O16
_space_group_name_H-M_alt 'P 1'
_space_group_IT_number 1
_space_group_name_Hall 'P 1'
_cell_length_a 6.827
_cell_length_b 6.827
_cell_length_c 19.503
_cell_angle_alpha 91.20
_cell_angle_beta 91.20
_cell_angle_gamma 135.14
loop_
_atom_site_label
_atom_site_fract_x
_atom_site_fract_y
_atom_site_fract_z
_atom_site_occupancy
K1 0.031 0.969 0.750 1
K2 0.969 0.031 0.250 1
Li1 0.314 0.686 0.750 1
Li2 0.686 0.314 0.250 1
Lu1 0.147 0.852 0.532 1
Lu2 0.148 0.853 0.968 1
Lu3 0.852 0.147 0.032 1
Lu4 0.853 0.148 0.468 1
Mo1 0.248 0.731 0.353 1
Mo2 0.269 0.752 0.147 1
Mo3 0.418 0.542 0.909 1
Mo4 0.458 0.582 0.591 1
Mo5 0.542 0.418 0.409 1
Mo6 0.582 0.458 0.091 1
Mo7 0.731 0.248 0.853 1
Mo8 0.752 0.269 0.647 1
O1 0.008 0.731 0.173 1
O2 0.057 0.577 0.435 1
O3 0.066 0.471 0.286 1
O4 0.094 0.395 0.130 1
O5 0.160 0.502 0.959 1
O6 0.216 0.312 0.399 1
O7 0.217 0.256 0.536 1
O8 0.256 0.217 0.036 1
O9 0.269 0.992 0.327 1
O10 0.299 0.480 0.671 1
O11 0.312 0.216 0.899 1
O12 0.395 0.094 0.630 1
O13 0.423 0.943 0.065 1
O14 0.471 0.066 0.786 1
O15 0.480 0.299 0.171 1
O16 0.498 0.840 0.541 1
O17 0.502 0.160 0.459 1
O18 0.520 0.701 0.829 1
O19 0.529 0.934 0.214 1
O20 0.577 0.057 0.935 1
O21 0.605 0.906 0.370 1
O22 0.688 0.784 0.101 1
O23 0.701 0.520 0.329 1
O24 0.731 0.008 0.673 1
O25 0.744 0.783 0.964 1
O26 0.783 0.744 0.464 1
O27 0.784 0.688 0.601 1
O28 0.840 0.498 0.041 1
O29 0.906 0.605 0.870 1
O30 0.934 0.529 0.714 1
O31 0.943 0.423 0.565 1
O32 0.992 0.269 0.827 1
```

Top 10 peaks for 2θ from 10° to 90°, sorted by position:
d = 3.512 Å, 2θ 25.36, I = 44
d = 3.337 Å, 2θ 26.71, I = 48
d = 3.271 Å, 2θ 27.26, I = 46
d = 3.208 Å, 2θ 27.81, I = 48
d = 3.134 Å, 2θ 28.48, I = 50
d = 3.106 Å, 2θ 28.74, I = 99
d = 3.069 Å, 2θ 29.10, I = 43
d = 2.957 Å, 2θ 30.22, I = 100
d = 2.884 Å, 2θ 31.01, I = 57
d = 2.601 Å, 2θ 34.48, I = 43